Structure and simulated powder X-ray diffraction pattern of Tm5In2NiRu2 (a GGA-PBE-relaxed structure; a wavelength of 1.5418 Å).

Largest 10 diffraction maxima, by angle, 2θ from 10° to 90°:
| 2theta | I (rel.) | hkl |
| --- | --- | --- |
| 31.96 | 57 | 4 1 0 |
| 32.91 | 34 | 3 3 0 |
| 34.26 | 17 | 2 2 1 |
| 34.75 | 15 | 4 2 0 |
| 36.04 | 100 | 3 1 1 |
| 38.56 | 42 | 3 2 1 |
| 53.76 | 16 | 0 0 2 |
| 56.34 | 14 | 5 5 0 |
| 57.24 | 18 | 6 2 1 |
| 63.92 | 15 | 4 1 2 |

Structure:
Unit cell a=11.5464 b=11.5464 c=3.4105 alpha=90.00 beta=90.00 gamma=90.00
Space group P4/mbm (No. 127)
Unique sites:
Tm 0.0000 0.5000 0.0000 (multiplicity 2)
Tm 0.0631 0.1960 0.0000 (multiplicity 8)
In 0.1804 0.6804 0.5000 (multiplicity 4)
Ni 0.0000 0.0000 0.5000 (multiplicity 2)
Ru 0.1370 0.3630 0.5000 (multiplicity 4)

Structure and simulated powder X-ray diffraction pattern of Pr2Ni4SbAs3 (a GGA-PBE-relaxed structure; a wavelength of 1.5418 Å).

Largest 10 diffraction maxima, by angle, 2θ from 10° to 90°:
| 2theta | I (rel.) | hkl |
| --- | --- | --- |
| 34.53 | 57 | 1 0 3 |
| 34.93 | 100 | 1 1 2 |
| 42.43 | 64 | 2 0 0 |
| 47.76 | 13 | 1 1 4 |
| 51.17 | 22 | 1 0 5 |
| 55.81 | 30 | 2 1 3 |
| 61.56 | 21 | 2 2 0 |
| 64.77 | 12 | 1 1 6 |
| 68.58 | 17 | 2 1 5 |
| 72.77 | 23 | 3 1 2 |

Structure:
Unit cell a=4.2610 b=4.2610 c=9.8305 alpha=90.00 beta=90.00 gamma=90.00
Space group P-4m2 (No. 115)
Unique sites:
Pr 0.0000 0.5000 0.2349 (multiplicity 2)
Ni 0.0000 0.0000 0.0000 (multiplicity 1)
Ni 0.0000 0.5000 0.6337 (multiplicity 2)
Ni 0.5000 0.5000 0.0000 (multiplicity 1)
Sb 0.0000 0.0000 0.5000 (multiplicity 1)
As 0.0000 0.5000 0.8757 (multiplicity 2)
As 0.5000 0.5000 0.5000 (multiplicity 1)

Structure and simulated powder X-ray diffraction pattern of TbP2Pt7Au (a GGA-PBE-relaxed structure; a wavelength of 1.5418 Å).

Largest 10 diffraction maxima, by angle, 2θ from 10° to 90°:
| 2theta | I (rel.) | hkl |
| --- | --- | --- |
| 12.17 | 13 | 0 0 4 |
| 22.36 | 14 | 1 0 1 |
| 24.00 | 21 | 1 0 3 |
| 26.99 | 17 | 1 0 5 |
| 36.69 | 100 | 1 1 6 |
| 44.60 | 21 | 1 1 10 |
| 45.19 | 40 | 2 0 0 |
| 59.83 | 11 | 2 0 12 |
| 65.83 | 13 | 2 2 0 |
| 77.80 | 23 | 3 1 6 |

Structure:
Unit cell a=4.0128 b=4.0128 c=29.1015 alpha=90.00 beta=90.00 gamma=90.00
Space group I-4m2 (No. 119)
Unique sites:
Tb 0.0000 0.0000 0.0000 (multiplicity 2)
P 0.0000 0.0000 0.3806 (multiplicity 4)
Pt 0.0000 0.0000 0.3069 (multiplicity 4)
Pt 0.0000 0.0000 0.5000 (multiplicity 2)
Pt 0.0000 0.5000 0.0754 (multiplicity 4)
Pt 0.0000 0.5000 0.5754 (multiplicity 4)
Au 0.0000 0.5000 0.2500 (multiplicity 2)

Structure and simulated powder X-ray diffraction pattern of K6TcN4 (a GGA-PBE-relaxed structure; a wavelength of 1.5418 Å).

Largest 10 diffraction maxima, by angle, 2θ from 10° to 90°:
| 2theta | I (rel.) | hkl |
| --- | --- | --- |
| 10.96 | 57 | 1 0 0 |
| 17.18 | 43 | 1 0 1 |
| 25.75 | 37 | 2 0 1 |
| 28.80 | 30 | 1 0 2 |
| 29.26 | 17 | 2 1 0 |
| 32.22 | 100 | 2 1 1 |
| 32.88 | 22 | 1 1 2 |
| 34.75 | 19 | 2 0 2 |
| 35.94 | 18 | 3 0 1 |
| 38.62 | 32 | 2 2 0 |

Structure:
Unit cell a=9.3246 b=9.3246 c=6.7140 alpha=90.00 beta=90.00 gamma=120.00
Space group P6_3mc (No. 186)
Unique sites:
K 0.0799 0.5400 0.0000 (multiplicity 6)
K 0.1422 0.2845 0.3365 (multiplicity 6)
Tc 0.3333 0.6667 0.5947 (multiplicity 2)
N 0.2260 0.4521 0.6901 (multiplicity 6)
N 0.3333 0.6667 0.3163 (multiplicity 2)

Structure and simulated powder X-ray diffraction pattern of LaCe2Th7 (a GGA-PBE-relaxed structure; a wavelength of 1.5418 Å).

Largest 10 diffraction maxima, by angle, 2θ from 10° to 90°:
| 2theta | I (rel.) | hkl |
| --- | --- | --- |
| 31.03 | 87 | 1 2 -1 |
| 31.21 | 100 | 1 0 2 |
| 33.30 | 83 | 2 0 -1 |
| 41.17 | 18 | 0 2 2 |
| 47.80 | 23 | 2 -2 2 |
| 52.53 | 13 | 0 4 -2 |
| 58.10 | 15 | 3 2 -2 |
| 58.23 | 27 | 3 0 1 |
| 62.35 | 21 | 1 4 0 |
| 63.63 | 14 | 2 4 -3 |

Structure:
Unit cell a=5.3810 b=6.9691 c=9.5333 alpha=111.33 beta=106.35 gamma=90.04
Space group P-1 (No. 2)
Unique sites:
La 0.0000 0.0000 0.0000 (multiplicity 1)
Ce 0.1982 0.6980 0.3967 (multiplicity 2)
Th 0.0000 0.5000 0.0000 (multiplicity 1)
Th 0.2036 0.2032 0.4067 (multiplicity 2)
Th 0.3972 0.6450 0.7946 (multiplicity 2)
Th 0.3976 0.1497 0.7946 (multiplicity 2)

Structure and simulated powder X-ray diffraction pattern of YZr9O20 (a GGA-PBE-relaxed structure; a wavelength of 1.5418 Å).

Largest 10 diffraction maxima, by angle, 2θ from 10° to 90°:
| 2theta | I (rel.) | hkl |
| --- | --- | --- |
| 29.53 | 100 | 2 0 1 |
| 29.65 | 99 | 1 2 2 |
| 33.81 | 18 | 2 2 0 |
| 34.55 | 27 | -1 2 1 |
| 49.00 | 37 | 3 0 -1 |
| 49.18 | 18 | 3 2 3 |
| 49.26 | 18 | 1 4 1 |
| 49.66 | 39 | 0 2 4 |
| 58.80 | 27 | 3 -2 0 |
| 58.93 | 20 | 2 2 5 |

Structure:
Unit cell a=6.4574 b=7.4006 c=8.2083 alpha=77.38 beta=75.47 gamma=72.32
Space group P1 (No. 1)
Unique sites:
Y 0.0000 0.0000 0.0000 (multiplicity 1)
Zr 0.0007 0.4989 0.9940 (multiplicity 1)
Zr 0.1965 0.2992 0.6013 (multiplicity 1)
Zr 0.2024 0.7975 0.6025 (multiplicity 1)
Zr 0.3946 0.5979 0.2024 (multiplicity 1)
Zr 0.4020 0.0949 0.1986 (multiplicity 1)
Zr 0.5999 0.3976 0.8011 (multiplicity 1)
Zr 0.6014 0.8959 0.8022 (multiplicity 1)
Zr 0.7969 0.6997 0.3990 (multiplicity 1)
Zr 0.7996 0.1989 0.4004 (multiplicity 1)
O 0.0156 0.6724 0.1639 (multiplicity 1)
O 0.0800 0.2262 0.1444 (multiplicity 1)
O 0.1111 0.0740 0.4648 (multiplicity 1)
O 0.1784 0.6241 0.4418 (multiplicity 1)
O 0.2266 0.4730 0.7605 (multiplicity 1)
O 0.2865 0.0189 0.7354 (multiplicity 1)
O 0.3345 0.8749 0.0675 (multiplicity 1)
O 0.3814 0.4235 0.0372 (multiplicity 1)
O 0.4001 0.2828 0.3602 (multiplicity 1)
O 0.4779 0.8210 0.3476 (multiplicity 1)
O 0.5183 0.6760 0.6647 (multiplicity 1)
O 0.5827 0.2233 0.6355 (multiplicity 1)
O 0.6123 0.0860 0.9555 (multiplicity 1)
O 0.6783 0.6199 0.9437 (multiplicity 1)
O 0.7072 0.4776 0.2645 (multiplicity 1)
O 0.7611 0.0249 0.2494 (multiplicity 1)
O 0.8106 0.8782 0.5606 (multiplicity 1)
O 0.8843 0.4216 0.5329 (multiplicity 1)
O 0.9188 0.2955 0.8507 (multiplicity 1)
O 0.9772 0.8074 0.8326 (multiplicity 1)

Structure and simulated powder X-ray diffraction pattern of In3CuAu12 (a GGA-PBE-relaxed structure; a wavelength of 1.5418 Å).

Largest 10 diffraction maxima, by angle, 2θ from 10° to 90°:
| 2theta | I (rel.) | hkl |
| --- | --- | --- |
| 21.15 | 5 | 1 0 0 |
| 30.08 | 5 | 1 1 0 |
| 37.07 | 100 | 1 1 4 |
| 43.07 | 49 | 2 0 0 |
| 48.45 | 3 | 2 1 0 |
| 53.43 | 2 | 2 1 4 |
| 62.54 | 32 | 2 2 0 |
| 69.14 | 2 | 1 1 11 |
| 74.99 | 37 | 3 1 4 |
| 78.95 | 11 | 2 2 8 |

Structure:
Unit cell a=4.2004 b=4.2004 c=16.8065 alpha=90.00 beta=90.00 gamma=90.00
Space group P4/mmm (No. 123)
Unique sites:
In 0.0000 0.0000 0.0000 (multiplicity 1)
In 0.0000 0.0000 0.2569 (multiplicity 2)
Cu 0.0000 0.0000 0.5000 (multiplicity 1)
Au 0.0000 0.5000 0.1286 (multiplicity 4)
Au 0.0000 0.5000 0.3846 (multiplicity 4)
Au 0.5000 0.5000 0.0000 (multiplicity 1)
Au 0.5000 0.5000 0.2568 (multiplicity 2)
Au 0.5000 0.5000 0.5000 (multiplicity 1)

Structure and simulated powder X-ray diffraction pattern of Pr2TaO5 (a GGA-PBE-relaxed structure; a wavelength of 1.5418 Å).

Largest 10 diffraction maxima, by angle, 2θ from 10° to 90°:
| 2theta | I (rel.) | hkl |
| --- | --- | --- |
| 28.11 | 88 | 2 0 3 |
| 28.37 | 100 | 0 1 3 |
| 32.12 | 26 | 0 0 6 |
| 33.03 | 38 | 2 1 0 |
| 46.74 | 48 | 2 1 6 |
| 47.74 | 17 | 0 2 0 |
| 54.85 | 16 | 2 0 9 |
| 54.99 | 12 | 0 1 9 |
| 56.33 | 28 | 2 2 3 |
| 76.97 | 11 | 0 3 3 |

Structure:
Unit cell a=7.7225 b=3.8101 c=16.7215 alpha=90.00 beta=90.00 gamma=90.00
Space group Pnma (No. 62)
Unique sites:
Pr 0.0923 0.2500 0.2399 (multiplicity 4)
Pr 0.1449 0.2500 0.5803 (multiplicity 4)
Ta 0.1730 0.2500 0.9061 (multiplicity 4)
O 0.0588 0.7500 0.1458 (multiplicity 4)
O 0.1333 0.7500 0.9470 (multiplicity 4)
O 0.1432 0.7500 0.3301 (multiplicity 4)
O 0.1435 0.7500 0.6668 (multiplicity 4)
O 0.1438 0.7500 0.4901 (multiplicity 4)

Structure and simulated powder X-ray diffraction pattern of AcAl2SiAu4 (a GGA-PBE-relaxed structure; a wavelength of 1.5418 Å).

Largest 10 diffraction maxima, by angle, 2θ from 10° to 90°:
| 2theta | I (rel.) | hkl |
| --- | --- | --- |
| 24.21 | 30 | 0 1 2 |
| 26.35 | 42 | 1 0 4 |
| 27.86 | 31 | 0 1 5 |
| 31.56 | 73 | 1 0 7 |
| 33.68 | 86 | 0 1 8 |
| 38.35 | 24 | 1 0 10 |
| 40.86 | 25 | 0 1 11 |
| 41.23 | 100 | 1 1 0 |
| 54.25 | 23 | 2 0 8 |
| 63.09 | 41 | 1 1 15 |

Structure:
Unit cell a=4.3794 b=4.3794 c=29.8782 alpha=90.00 beta=90.00 gamma=120.00
Space group R-3m (No. 166, hexagonal axes)
Unique sites:
Ac 0.0000 0.0000 0.0000 (multiplicity 3)
Al 0.0000 0.0000 0.2419 (multiplicity 6)
Si 0.0000 0.0000 0.5000 (multiplicity 3)
Au 0.0000 0.0000 0.1296 (multiplicity 6)
Au 0.0000 0.0000 0.4017 (multiplicity 6)

Structure and simulated powder X-ray diffraction pattern of NaThGaS4 (a GGA-PBE-relaxed structure; a wavelength of 1.5418 Å).

Largest 10 diffraction maxima, by angle, 2θ from 10° to 90°:
| 2theta | I (rel.) | hkl |
| --- | --- | --- |
| 14.23 | 83 | 1 0 1 |
| 16.14 | 32 | 0 0 2 |
| 23.56 | 32 | 2 0 0 |
| 25.72 | 100 | 1 2 1 |
| 27.07 | 51 | 1 0 3 |
| 31.98 | 38 | 2 2 0 |
| 32.61 | 19 | 0 0 4 |
| 36.02 | 28 | 2 2 2 |
| 42.77 | 26 | 3 2 1 |
| 46.33 | 54 | 2 2 4 |

Structure:
Unit cell a=7.5511 b=8.3381 c=10.9825 alpha=90.00 beta=90.00 gamma=90.00
Space group Imma (No. 74)
Unique sites:
Na 0.2500 0.2500 0.2500 (multiplicity 4)
Th 0.0000 0.0000 0.0000 (multiplicity 4)
Ga 0.0000 0.2500 0.6450 (multiplicity 4)
S 0.0000 0.0149 0.7507 (multiplicity 8)
S 0.2483 0.2500 0.5067 (multiplicity 8)

Structure and simulated powder X-ray diffraction pattern of ZrInRu (a GGA-PBE-relaxed structure; a wavelength of 1.5418 Å).

Largest 10 diffraction maxima, by angle, 2θ from 10° to 90°:
| 2theta | I (rel.) | hkl |
| --- | --- | --- |
| 28.83 | 6 | 0 0 1 |
| 36.70 | 100 | 1 0 1 |
| 39.01 | 91 | 1 1 0 |
| 49.22 | 7 | 1 1 1 |
| 54.63 | 31 | 0 2 1 |
| 64.53 | 17 | 0 1 2 |
| 69.15 | 30 | 2 1 1 |
| 70.65 | 15 | 3 0 0 |
| 78.04 | 12 | 2 0 2 |
| 83.78 | 9 | 2 2 0 |

Structure:
Unit cell a=4.6184 b=4.6184 c=3.0971 alpha=90.00 beta=90.00 gamma=120.00
Space group P3m1 (No. 156)
Unique sites:
Zr 0.0000 0.0000 0.0000 (multiplicity 1)
In 0.6667 0.3333 0.4632 (multiplicity 1)
Ru 0.3333 0.6667 0.6976 (multiplicity 1)

Structure and simulated powder X-ray diffraction pattern of K3BaNp2Te6 (a GGA-PBE-relaxed structure; a wavelength of 1.5418 Å).

Largest 10 diffraction maxima, by angle, 2θ from 10° to 90°:
| 2theta | I (rel.) | hkl |
| --- | --- | --- |
| 10.76 | 51 | 2 0 -1 |
| 22.17 | 9 | 1 1 1 |
| 26.22 | 100 | 1 1 -2 |
| 33.57 | 13 | 3 1 -3 |
| 36.22 | 11 | 2 0 -4 |
| 36.72 | 24 | 7 1 -2 |
| 38.13 | 23 | 5 1 2 |
| 38.53 | 13 | 0 2 0 |
| 46.43 | 13 | 4 0 4 |
| 47.23 | 13 | 6 2 0 |

Structure:
Unit cell a=21.2452 b=4.6730 c=9.9336 alpha=90.00 beta=106.55 gamma=90.00
Space group C2/m (No. 12)
Unique sites:
K 0.0000 0.0000 0.0000 (multiplicity 2)
K 0.1602 0.5000 0.3314 (multiplicity 4)
Ba 0.0000 0.0000 0.5000 (multiplicity 2)
Np 0.1689 0.5000 0.8365 (multiplicity 4)
Te 0.0191 0.5000 0.7615 (multiplicity 4)
Te 0.1709 0.0000 0.6263 (multiplicity 4)
Te 0.1776 0.0000 0.0544 (multiplicity 4)